[1]
# PrMg9Pd3
Theoretical X-ray powder pattern, a wavelength of 1.5418 Å. Input: a DFT-relaxed cell (PBE, Alexandria).
Intensities are scaled so that the largest is 1000.

Largest 10 diffraction maxima, low angle first, 15° ≤ 2θ ≤ 90°:
| hkl | d (Å) | I/Imax |
| --- | --- | --- |
| 0 2 1 | 4.876 | 479 |
| 1 1 -1 | 4.811 | 512 |
| 0 4 0 | 3.531 | 465 |
| 1 3 -1 | 3.469 | 576 |
| 0 0 2 | 3.370 | 352 |
| 1 3 1 | 2.851 | 365 |
| 2 2 0 | 2.469 | 1000 |
| 0 4 2 | 2.438 | 947 |
| 2 2 -2 | 2.405 | 671 |
| 2 0 1 | 2.201 | 319 |

Structural model:
Cell: 5.629 14.125 7.202 Å, 90.00 110.63 90.00°
Space group C2/m (No. 12)
Asymmetric unit:
Pr 0.000 0.000 0.000 [2 per cell]
Mg 0.000 0.000 0.500 [2 per cell]
Mg 0.092 0.387 0.214 [8 per cell]
Mg 0.157 0.178 0.327 [8 per cell]
Pd 0.000 0.500 0.500 [2 per cell]
Pd 0.250 0.250 0.000 [4 per cell]



[2]
# PrMg5Pd6
Theoretical X-ray powder pattern, a wavelength of 1.5418 Å. Input: a DFT-relaxed cell (PBE, Alexandria).
Intensities are scaled so that the largest is 1000.

Largest 10 diffraction maxima, low angle first, 15° ≤ 2θ ≤ 90°:
| hkl | d (Å) | I/Imax |
| --- | --- | --- |
| 1 0 1 | 3.354 | 229 |
| 0 2 0 | 3.329 | 211 |
| 1 0 -2 | 3.169 | 198 |
| 1 2 1 | 2.363 | 1000 |
| 2 0 -1 | 2.303 | 952 |
| 1 2 -2 | 2.295 | 919 |
| 2 0 2 | 1.677 | 173 |
| 3 2 0 | 1.354 | 324 |
| 2 4 -1 | 1.349 | 294 |
| 3 2 -3 | 1.316 | 292 |

Structural model:
Cell: 4.613 6.658 7.172 Å, 90.00 105.48 90.00°
Space group P2/m (No. 10)
Asymmetric unit:
Pr 0.000 0.000 0.000 [1 per cell]
Mg 0.000 0.500 0.000 [1 per cell]
Mg 0.329 0.000 0.652 [2 per cell]
Mg 0.335 0.500 0.671 [2 per cell]
Pd 0.173 0.263 0.345 [4 per cell]
Pd 0.500 0.272 0.000 [2 per cell]



[3]
# Pr3Mg2Pd3
Theoretical X-ray powder pattern, a wavelength of 1.5418 Å. Input: a DFT-relaxed cell (PBE, Alexandria).
Intensities are scaled so that the largest is 1000.

Largest 10 diffraction maxima, low angle first, 15° ≤ 2θ ≤ 90°:
| hkl | d (Å) | I/Imax |
| --- | --- | --- |
| 1 1 0 | 4.318 | 439 |
| 0 0 2 | 2.975 | 415 |
| 2 1 1 | 2.553 | 1000 |
| 3 0 0 | 2.493 | 340 |
| 1 1 2 | 2.450 | 392 |
| 3 1 1 | 1.959 | 232 |
| 3 0 2 | 1.911 | 187 |
| 3 2 1 | 1.649 | 152 |
| 2 1 3 | 1.624 | 250 |
| 3 0 4 | 1.277 | 123 |

Structural model:
Cell: 8.6358 8.6358 5.9502 Å, 90.00 90.00 120.00°
Space group P6_3/mcm (No. 193)
Asymmetric unit:
Pr 0.0000 0.2667 0.2500 [6 per cell]
Mg 0.3333 0.6667 0.0000 [4 per cell]
Pd 0.0000 0.3975 0.7500 [6 per cell]



[4]
# PrMgSn2Pd5
Theoretical X-ray powder pattern, a wavelength of 1.5418 Å. Input: a DFT-relaxed cell (PBE, Alexandria).
Intensities are scaled so that the largest is 1000.

Largest 10 diffraction maxima, low angle first, 15° ≤ 2θ ≤ 90°:
| hkl | d (Å) | I/Imax |
| --- | --- | --- |
| 1 0 0 | 4.255 | 155 |
| 1 0 1 | 3.923 | 209 |
| 1 1 2 | 2.587 | 1000 |
| 1 1 3 | 2.247 | 930 |
| 2 0 0 | 2.127 | 671 |
| 0 0 5 | 2.026 | 177 |
| 2 2 0 | 1.504 | 221 |
| 2 0 5 | 1.467 | 248 |
| 3 1 2 | 1.300 | 221 |
| 3 1 3 | 1.250 | 284 |

Structural model:
Cell: 4.255 4.255 10.132 Å, 90.00 90.00 90.00°
Space group P4/mmm (No. 123)
Asymmetric unit:
Pr 0.000 0.000 0.000 [1 per cell]
Mg 0.000 0.000 0.500 [1 per cell]
Sn 0.500 0.500 0.364 [2 per cell]
Pd 0.000 0.500 0.209 [4 per cell]
Pd 0.500 0.500 0.000 [1 per cell]